Simulated powder XRD pattern of SrCaGe4O12 for Cu Ka, from a PBE-relaxed structure.
Neutral-atom scattering factors, no anomalous dispersion.

Atomic structure:
Lattice parameters (Å, degrees): 5.3354 5.3354 7.5436 90.00 90.00 90.00
Space group P4/mmm (No. 123)
Symmetry-distinct sites (fractional):
Sr 0.0000 0.0000 0.0000
Ca 0.5000 0.5000 0.5000
Ge 0.0000 0.5000 0.2505
O 0.0000 0.5000 0.0000
O 0.0000 0.5000 0.5000
O 0.2527 0.2527 0.2558

Peak list (6 most intense, 15 to 90 degrees two-theta, by intensity)
(2 0 0), 33.60°, intensity 100
(1 1 0), 23.58°, intensity 55
(2 2 0), 48.25°, intensity 50
(2 0 4), 60.08°, intensity 39
(1 0 1), 20.39°, intensity 31
(4 0 0), 70.62°, intensity 28


Simulated powder XRD pattern of Ca2GeTeO for Cu Ka, from a PBE-relaxed structure.
Neutral-atom scattering factors, no anomalous dispersion.

Atomic structure:
Lattice parameters (Å, degrees): 5.8455 5.8455 5.1627 90.00 90.00 90.00
Space group P4/mmm (No. 123)
Symmetry-distinct sites (fractional):
Ca 0.0000 0.5000 0.0000
Ge 0.0000 0.0000 0.5000
Te 0.0000 0.0000 0.0000
O 0.5000 0.5000 0.5000

Peak list (6 most intense, 15 to 90 degrees two-theta, by intensity)
(1 0 0), 15.16°, intensity 100
(2 0 0), 30.59°, intensity 51
(2 0 2), 46.96°, intensity 30
(2 1 0), 34.30°, intensity 27
(1 1 0), 21.50°, intensity 23
(1 0 2), 38.11°, intensity 21


What did the first record say?
Simulated powder XRD pattern of SrCaGe4O12 for Cu Ka, from a PBE-relaxed structure.
Neutral-atom scattering factors, no anomalous dispersion.

Atomic structure:
Lattice parameters (Å, degrees): 5.3354 5.3354 7.5436 90.00 90.00 90.00
Space group P4/mmm (No. 123)
Symmetry-distinct sites (fractional):
Sr 0.0000 0.0000 0.0000
Ca 0.5000 0.5000 0.5000
Ge 0.0000 0.5000 0.2505
O 0.0000 0.5000 0.0000
O 0.0000 0.5000 0.5000
O 0.2527 0.2527 0.2558

Peak list (6 most intense, 15 to 90 degrees two-theta, by intensity)
(2 0 0), 33.60°, intensity 100
(1 1 0), 23.58°, intensity 55
(2 2 0), 48.25°, intensity 50
(2 0 4), 60.08°, intensity 39
(1 0 1), 20.39°, intensity 31
(4 0 0), 70.62°, intensity 28


Which formula does entry 1 have?
SrCaGe4O12